[1]
This entry pairs a crystal structure of LiCrC2O6 with its theoretical X-ray powder pattern. Radiation: Cu Kα, 1.54184 Å. Structure: a cell relaxed with GGA+U.
Intensities are scaled so that the largest is 100.

Crystal structure
```
data_LiCrC2O6
_chemical_formula_sum 'Li2 Cr2 C4 O12'
_cell_length_a 5.024
_cell_length_b 7.832
_cell_length_c 6.439
_cell_angle_alpha 90.00
_cell_angle_beta 111.02
_cell_angle_gamma 90.00
_space_group_name_H-M_alt 'P 1 21 1'
_space_group_IT_number 4
_space_group_name_Hall 'P 2yb'
loop_
_atom_site_label
_atom_site_type_symbol
_atom_site_fract_x
_atom_site_fract_y
_atom_site_fract_z
Li1 Li 0.147 0.000 0.133
Cr1 Cr 0.496 0.048 0.740
C1 C 0.363 0.308 0.896
C2 C 0.374 0.287 0.386
O1 O 0.214 0.421 0.354
O2 O 0.221 0.166 0.872
O3 O 0.274 0.448 0.954
O4 O 0.292 0.138 0.430
O5 O 0.381 0.809 0.637
O6 O 0.403 0.799 0.148
```

Most intense lines, 2θ = 10–80°, sorted by position:
Position (°2θ)	I (rel.)
18.61	78.9
18.92	100.0
22.09	22.6
22.49	50.2
31.89	48.2
37.61	21.5

[2]
This entry pairs a crystal structure of Li4Cr3NiO8 with its theoretical X-ray powder pattern. Radiation: Cu Kα, 1.54184 Å. Structure: a cell relaxed with GGA+U.
Intensities are scaled so that the largest is 100.

Crystal structure
```
data_Li4Cr3NiO8
_chemical_formula_sum 'Li8 Cr6 Ni2 O16'
_cell_length_a 10.175
_cell_length_b 5.921
_cell_length_c 5.137
_cell_angle_alpha 90.00
_cell_angle_beta 109.54
_cell_angle_gamma 90.00
_space_group_name_H-M_alt 'C 1 2/m 1'
_space_group_IT_number 12
_space_group_name_Hall '-C 2y'
loop_
_atom_site_label
_atom_site_type_symbol
_atom_site_fract_x
_atom_site_fract_y
_atom_site_fract_z
Li1 Li 0.000 0.244 0.000
Li2 Li 0.249 0.000 0.001
Cr1 Cr 0.000 0.500 0.500
Cr2 Cr 0.250 0.250 0.500
Ni1 Ni 0.000 0.000 0.500
O1 O 0.120 0.266 0.726
O2 O 0.128 0.500 0.273
O3 O 0.131 0.000 0.272
```

Most intense lines, 2θ = 10–80°, sorted by position:
Position (°2θ)	I (rel.)
18.33	100.0
35.64	27.4
35.81	14.1
43.32	79.6
62.68	14.2
63.19	14.4

[3]
This entry pairs a crystal structure of Li9Co7O16 with its theoretical X-ray powder pattern. Radiation: Cu Kα, 1.54184 Å. Structure: a cell relaxed with GGA+U.
Intensities are scaled so that the largest is 100.

Crystal structure
```
data_Li9Co7O16
_chemical_formula_sum 'Li9 Co7 O16'
_cell_length_a 2.949
_cell_length_b 9.780
_cell_length_c 10.121
_cell_angle_alpha 85.50
_cell_angle_beta 87.92
_cell_angle_gamma 83.21
_space_group_name_H-M_alt 'P -1'
_space_group_IT_number 2
_space_group_name_Hall '-P 1'
loop_
_atom_site_label
_atom_site_type_symbol
_atom_site_fract_x
_atom_site_fract_y
_atom_site_fract_z
Li1 Li 0.000 0.000 0.000
Li2 Li 0.121 0.752 0.191
Li3 Li 0.134 0.751 0.691
Li4 Li 0.373 0.250 0.562
Li5 Li 0.378 0.244 0.062
Co1 Co 0.000 0.000 0.500
Co2 Co 0.249 0.500 0.875
Co3 Co 0.251 0.500 0.375
Co4 Co 0.498 0.000 0.243
O1 O 0.084 0.885 0.836
O2 O 0.088 0.885 0.351
O3 O 0.181 0.617 0.037
O4 O 0.182 0.616 0.537
O5 O 0.313 0.386 0.712
O6 O 0.317 0.386 0.212
O7 O 0.441 0.114 0.884
O8 O 0.450 0.110 0.397
```

Most intense lines, 2θ = 10–80°, sorted by position:
Position (°2θ)	I (rel.)
18.32	100.0
35.02	17.2
42.14	31.4
43.88	26.4
44.42	26.2
62.46	15.5